For BaReAg4, a DFT-relaxed cell (PBE, Alexandria) gives the theoretical powder diffractogram in this record (Cu Kα, 1.54184 Å).
Lines closer than 0.1° are merged.

Cell: 8.093 8.093 8.093 Å, 90.00 90.00 90.00°
Space group F-43m (No. 216)
Symmetry-distinct sites (fractional):
Ba 0.000 0.000 0.000
Re 0.250 0.250 0.750
Ag 0.124 0.124 0.376

Principal peaks in the range 2θ = 15–90°, by angle:
hkl	2θ/deg	I (rel.)
1 1 1	18.99	1
2 2 0	31.26	38
3 1 1	36.84	100
2 2 2	38.54	30
4 2 2	55.64	15
3 3 3	59.34	32
4 4 0	65.21	26
6 2 0	74.10	6
5 3 3	77.32	11
6 2 2	78.38	10

=====

For Pm2Dy3Cd4, a DFT-relaxed cell (PBE, Alexandria) gives the theoretical powder diffractogram in this record (Cu Kα, 1.54184 Å).
Lines closer than 0.1° are merged.

Cell: 6.808 18.578 8.208 Å, 90.00 90.00 90.00°
Space group Cmce (No. 64)
Symmetry-distinct sites (fractional):
Pm 0.000 0.092 0.100
Dy 0.000 0.000 0.500
Dy 0.250 0.246 0.750
Cd 0.000 0.162 0.485
Cd 0.250 0.075 0.750

Principal peaks in the range 2θ = 15–90°, by angle:
hkl	2θ/deg	I (rel.)
2 2 0	27.91	17
1 3 2	29.21	17
1 5 1	29.47	51
2 2 1	30.00	31
2 0 2	34.21	100
1 1 3	35.69	18
0 6 2	36.35	45
1 7 1	38.00	24
2 6 0	39.34	21
2 6 4	60.58	37